This entry pairs a crystal structure of NdUTe6 with its computed powder diffraction line list. Radiation: Cu Ka. Structure: a structure optimized by DFT (PBE).
Lines closer than 0.1° are merged.

Largest 6 diffraction maxima, in order of rising 2θ, 2θ = 5–70°:
| (hkl) | d/Å | Position (°2θ) | I_rel |
| --- | --- | --- | --- |
| 0 0 8 | 3.227 | 27.64 | 44 |
| 1 1 1 | 3.084 | 28.95 | 31 |
| 1 1 3 | 2.922 | 30.60 | 100 |
| 1 1 5 | 2.662 | 33.67 | 73 |
| 2 0 0 | 2.197 | 41.09 | 63 |
| 2 0 8 | 1.816 | 50.24 | 34 |

a = 4.392 Å, b = 4.395 Å, c = 25.817 Å
α = 90.00°, β = 90.00°, γ = 90.00°
Space group Amm2 (No. 38)
One atom of each set of equivalent atoms:
1 Nd 0.000 0.000 0.000 x2
2 U 0.500 0.000 0.336 x2
3 Te 0.000 0.000 0.245 x2
4 Te 0.000 0.000 0.598 x2
5 Te 0.000 0.000 0.871 x2
6 Te 0.500 0.000 0.098 x2
7 Te 0.500 0.000 0.459 x2
8 Te 0.500 0.000 0.745 x2